# 1
Starting from a cell relaxed with GGA-PBE, the X-ray diffraction stick pattern of NbAlBr8 was simulated for a wavelength of 1.5418 Å.

Main lines, low angle first (2θ = 5–70°):
2θ 10.9, 8.137 Å, intensity 22, (1 1 0)
2θ 13.5, 6.547 Å, intensity 18, (0 2 1)
2θ 14.5, 6.090 Å, intensity 61, (1 1 1)
2θ 27.2, 3.274 Å, intensity 57, (0 4 2)
2θ 27.5, 3.248 Å, intensity 100, (2 4 0)
2θ 27.7, 3.221 Å, intensity 51, (2 0 2)
2θ 30.7, 2.908 Å, intensity 22, (0 2 3)
2θ 36.4, 2.469 Å, intensity 18, (2 6 1)
2θ 39.3, 2.295 Å, intensity 22, (0 0 4)
2θ 39.9, 2.260 Å, intensity 15, (4 0 0)
2θ 46.2, 1.965 Å, intensity 27, (2 6 3)
2θ 48.6, 1.874 Å, intensity 29, (2 4 4)

Atomic structure:
a b c (Å): 9.0398 18.6780 9.1817
angles (deg): 90.00 90.00 90.00
Space group Cmcm (No. 63)
Asymmetric unit:
Nb 0.0000 0.1102 0.2500 (multiplicity 4)
Al 0.0000 0.3130 0.2500 (multiplicity 4)
Br 0.0000 0.1309 0.5167 (multiplicity 8)
Br 0.0000 0.3795 0.0417 (multiplicity 8)
Br 0.1991 0.2291 0.2500 (multiplicity 8)
Br 0.2097 0.0298 0.2500 (multiplicity 8)

=====

# 2
Starting from a cell relaxed with GGA-PBE, the X-ray diffraction stick pattern of AlBrO was simulated for a wavelength of 1.5418 Å.

Main lines, low angle first (2θ = 5–70°):
2θ 25.6, 3.480 Å, intensity 100, (1 1 1)
2θ 29.2, 3.058 Å, intensity 22, (0 3 0)
2θ 30.7, 2.909 Å, intensity 25, (1 2 1)
2θ 31.6, 2.828 Å, intensity 18, (2 0 0)
2θ 35.7, 2.518 Å, intensity 17, (0 0 2)
2θ 43.6, 2.076 Å, intensity 10, (2 3 0)
2θ 46.4, 1.958 Å, intensity 23, (1 4 1)
2θ 46.7, 1.944 Å, intensity 11, (0 3 2)
2θ 48.4, 1.881 Å, intensity 9, (2 0 2)
2θ 52.8, 1.734 Å, intensity 11, (3 1 1)
2θ 55.8, 1.648 Å, intensity 10, (3 2 1)
2θ 57.5, 1.602 Å, intensity 9, (2 3 2)

Atomic structure:
a b c (Å): 5.6568 9.1735 5.0368
angles (deg): 90.00 90.00 90.00
Space group Pca2_1 (No. 29)
Asymmetric unit:
Al 0.0929 0.0863 0.0000 (multiplicity 4)
Br 0.0013 0.3183 0.1000 (multiplicity 4)
O 0.1281 0.0319 0.6558 (multiplicity 4)

=====

# 3
Starting from a cell relaxed with GGA-PBE, the X-ray diffraction stick pattern of RbAlBr4 was simulated for a wavelength of 1.5418 Å.

Main lines, low angle first (2θ = 5–70°):
2θ 22.4, 3.974 Å, intensity 64, (1 1 2)
2θ 25.9, 3.438 Å, intensity 56, (1 2 1)
2θ 27.5, 3.249 Å, intensity 45, (2 2 0)
2θ 27.6, 3.230 Å, intensity 33, (1 0 3)
2θ 28.2, 3.166 Å, intensity 71, (3 0 2)
2θ 28.9, 3.091 Å, intensity 100, (2 2 1)
2θ 30.0, 2.976 Å, intensity 51, (1 1 3)
2θ 30.2, 2.958 Å, intensity 36, (1 2 2)
2θ 30.6, 2.926 Å, intensity 79, (4 0 1)
2θ 47.4, 1.918 Å, intensity 34, (0 4 0)
2θ 48.8, 1.868 Å, intensity 33, (3 2 4)
2θ 52.1, 1.756 Å, intensity 48, (5 2 3)

Atomic structure:
a b c (Å): 12.2338 7.6696 10.0451
angles (deg): 90.00 90.00 90.00
Space group Pnma (No. 62)
Asymmetric unit:
Rb 0.1847 0.2500 0.1599 (multiplicity 4)
Al 0.0625 0.2500 0.6888 (multiplicity 4)
Br 0.0829 0.0042 0.8251 (multiplicity 8)
Br 0.1117 0.7500 0.4012 (multiplicity 4)
Br 0.2031 0.2500 0.5334 (multiplicity 4)

=====

# 4
Starting from a cell relaxed with GGA-PBE, the X-ray diffraction stick pattern of TiAl2Br8 was simulated for a wavelength of 1.5418 Å.

Main lines, low angle first (2θ = 5–70°):
2θ 11.8, 7.482 Å, intensity 57, (2 0 0)
2θ 23.7, 3.754 Å, intensity 33, (2 2 0)
2θ 23.9, 3.731 Å, intensity 22, (4 0 0)
2θ 27.2, 3.277 Å, intensity 48, (2 0 2)
2θ 27.4, 3.257 Å, intensity 55, (0 2 2)
2θ 28.0, 3.189 Å, intensity 100, (4 2 -2)
2θ 28.4, 3.141 Å, intensity 69, (4 0 -4)
2θ 41.6, 2.172 Å, intensity 19, (0 4 0)
2θ 41.9, 2.158 Å, intensity 38, (6 2 0)
2θ 49.3, 1.848 Å, intensity 16, (4 2 -6)
2θ 50.4, 1.811 Å, intensity 29, (8 2 -6)
2θ 51.1, 1.788 Å, intensity 23, (10 0 -6)

Atomic structure:
a b c (Å): 19.0628 8.6884 12.5780
angles (deg): 90.00 128.48 90.00
Space group C2/c (No. 15)
Asymmetric unit:
Ti 0.0000 0.0027 0.2500 (multiplicity 4)
Al 0.0836 0.2421 0.5285 (multiplicity 8)
Br 0.0629 0.2277 0.1794 (multiplicity 8)
Br 0.0826 0.2257 0.7160 (multiplicity 8)
Br 0.1475 0.0174 0.5150 (multiplicity 8)
Br 0.1561 0.4622 0.5506 (multiplicity 8)

=====

# 5
Starting from a cell relaxed with GGA-PBE, the X-ray diffraction stick pattern of TiAl2Br8 was simulated for a wavelength of 1.5418 Å.

Main lines, low angle first (2θ = 5–70°):
2θ 10.7, 8.276 Å, intensity 70, (0 1 1)
2θ 16.9, 5.235 Å, intensity 20, (0 0 2)
2θ 21.5, 4.138 Å, intensity 18, (0 2 2)
2θ 25.6, 3.475 Å, intensity 100, (1 2 2)
2θ 26.4, 3.379 Å, intensity 24, (0 4 0)
2θ 27.9, 3.201 Å, intensity 30, (2 0 0)
2θ 29.9, 2.988 Å, intensity 47, (1 4 0)
2θ 35.4, 2.533 Å, intensity 34, (1 3 3)
2θ 38.7, 2.324 Å, intensity 29, (2 4 0)
2θ 39.5, 2.281 Å, intensity 18, (1 2 4)
2θ 43.8, 2.069 Å, intensity 25, (0 6 2)
2θ 48.0, 1.897 Å, intensity 18, (3 2 2)

Atomic structure:
a b c (Å): 6.4027 13.5129 10.4694
angles (deg): 90.00 90.00 90.00
Space group Pnnm (No. 58)
Asymmetric unit:
Ti 0.0000 0.0000 0.0000 (multiplicity 2)
Al 0.1099 0.3224 0.5000 (multiplicity 4)
Br 0.1964 0.1597 0.5000 (multiplicity 4)
Br 0.2403 0.1668 0.0000 (multiplicity 4)
Br 0.2459 0.9102 0.1741 (multiplicity 8)

=====

# 6
Starting from a cell relaxed with GGA-PBE, the X-ray diffraction stick pattern of AlC was simulated for a wavelength of 1.5418 Å.

Main lines, low angle first (2θ = 5–70°):
2θ 5.9, 14.985 Å, intensity 100, (0 2 0)
2θ 8.9, 9.990 Å, intensity 5, (0 3 0)
2θ 11.8, 7.492 Å, intensity 18, (0 4 0)
2θ 14.8, 5.994 Å, intensity 4, (0 5 0)
2θ 32.5, 2.751 Å, intensity 4, (0 8 2)
2θ 34.9, 2.573 Å, intensity 8, (0 9 2)
2θ 37.3, 2.410 Å, intensity 8, (0 10 2)
2θ 39.9, 2.261 Å, intensity 6, (0 11 2)
2θ 40.2, 2.241 Å, intensity 6, (3 1 -2)
2θ 40.5, 2.228 Å, intensity 6, (3 1 2)
2θ 43.2, 2.092 Å, intensity 4, (3 9 0)
2θ 45.3, 2.001 Å, intensity 5, (3 10 0)

Atomic structure:
a b c (Å): 8.0664 29.9698 8.1067
angles (deg): 90.00 90.36 90.00
Space group P2 (No. 3)
Asymmetric unit:
Al 0.0000 0.0000 0.0000 (multiplicity 1)
Al 0.0000 0.9995 0.5000 (multiplicity 1)
Al 0.0000 0.0939 0.0000 (multiplicity 1)
Al 0.0000 0.0961 0.5000 (multiplicity 1)
Al 0.0000 0.1966 0.5000 (multiplicity 1)
Al 0.0000 0.2046 0.0000 (multiplicity 1)
Al 0.1575 0.1386 0.7655 (multiplicity 2)
Al 0.1633 0.0482 0.2520 (multiplicity 2)
Al 0.1673 0.0439 0.7455 (multiplicity 2)
Al 0.1738 0.1555 0.2638 (multiplicity 2)
Al 0.3242 0.1970 0.5754 (multiplicity 2)
Al 0.3309 0.0011 0.4974 (multiplicity 2)
Al 0.3308 0.0976 0.4985 (multiplicity 2)
Al 0.3319 0.0916 0.0004 (multiplicity 2)
Al 0.3326 0.1887 0.0010 (multiplicity 2)
Al 0.3342 0.0005 0.9978 (multiplicity 2)
Al 0.4972 0.1387 0.2414 (multiplicity 2)
Al 0.4996 0.0445 0.2517 (multiplicity 2)
C 0.0000 0.2785 0.5000 (multiplicity 1)
C 0.0685 0.2539 0.8000 (multiplicity 2)
C 0.0798 0.3029 0.0269 (multiplicity 2)
C 0.1006 0.2809 0.1987 (multiplicity 2)
C 0.1201 0.2987 0.3740 (multiplicity 2)
C 0.1271 0.2515 0.6205 (multiplicity 2)
C 0.1996 0.2821 0.9006 (multiplicity 2)
C 0.2724 0.2574 0.1819 (multiplicity 2)
C 0.2792 0.2985 0.4285 (multiplicity 2)
C 0.2983 0.2799 0.6018 (multiplicity 2)
C 0.3183 0.3008 0.7707 (multiplicity 2)
C 0.3285 0.2576 0.0130 (multiplicity 2)
C 0.4007 0.2785 0.3001 (multiplicity 2)
C 0.4689 0.2530 0.5883 (multiplicity 2)
C 0.4781 0.3006 0.8245 (multiplicity 2)
C 0.5000 0.2821 0.0000 (multiplicity 1)

=====

# 7
Starting from a cell relaxed with GGA-PBE, the X-ray diffraction stick pattern of Ca4Al2H22CO20 was simulated for a wavelength of 1.5418 Å.

Main lines, low angle first (2θ = 5–70°):
2θ 11.7, 7.581 Å, intensity 100, (0 1 1)
2θ 23.5, 3.791 Å, intensity 33, (0 2 2)
2θ 31.1, 2.878 Å, intensity 18, (1 1 -2)
2θ 32.6, 2.747 Å, intensity 11, (1 0 3)
2θ 35.2, 2.548 Å, intensity 14, (-2 1 1)
2θ 35.8, 2.507 Å, intensity 9, (2 0 2)
2θ 36.4, 2.467 Å, intensity 8, (0 2 -2)
2θ 36.8, 2.442 Å, intensity 19, (1 3 0)
2θ 38.2, 2.353 Å, intensity 18, (1 1 4)
2θ 42.6, 2.123 Å, intensity 9, (-2 2 2)
2θ 46.6, 1.949 Å, intensity 11, (1 2 5)
2θ 49.5, 1.841 Å, intensity 8, (2 4 2)

Atomic structure:
a b c (Å): 5.8356 8.5250 9.9754
angles (deg): 65.05 82.56 81.08
Space group P1 (No. 1)
Asymmetric unit:
Ca 0.0000 0.0000 0.0000 (multiplicity 1)
Ca 0.0368 0.2431 0.6174 (multiplicity 1)
Ca 0.5020 0.5070 0.4992 (multiplicity 1)
Ca 0.5423 0.7375 0.1111 (multiplicity 1)
Al 0.0242 0.6181 0.3051 (multiplicity 1)
Al 0.5163 0.1251 0.8099 (multiplicity 1)
H 0.0050 0.6137 0.8253 (multiplicity 1)
H 0.0052 0.6262 0.5557 (multiplicity 1)
H 0.0421 0.6323 0.0418 (multiplicity 1)
H 0.0808 0.2563 0.1166 (multiplicity 1)
H 0.1916 0.3437 0.8422 (multiplicity 1)
H 0.1992 0.8821 0.2917 (multiplicity 1)
H 0.2457 0.1221 0.3434 (multiplicity 1)
H 0.2679 0.6202 0.7760 (multiplicity 1)
H 0.3115 0.8348 0.5734 (multiplicity 1)
H 0.3423 0.3971 0.2743 (multiplicity 1)
H 0.3630 0.8593 0.8160 (multiplicity 1)
H 0.4638 0.4846 0.9914 (multiplicity 1)
H 0.4973 0.1052 0.0745 (multiplicity 1)
H 0.5103 0.1260 0.3016 (multiplicity 1)
H 0.5328 0.1321 0.5500 (multiplicity 1)
H 0.5800 0.7682 0.6154 (multiplicity 1)
H 0.6777 0.3915 0.7985 (multiplicity 1)
H 0.7145 0.8363 0.3436 (multiplicity 1)
H 0.7179 0.4094 0.0427 (multiplicity 1)
H 0.8326 0.9189 0.7569 (multiplicity 1)
H 0.8532 0.3495 0.3253 (multiplicity 1)
H 0.8839 0.1497 0.2276 (multiplicity 1)
C 0.9042 0.9515 0.5018 (multiplicity 1)
O 0.0918 0.5544 0.5072 (multiplicity 1)
O 0.1004 0.0084 0.5007 (multiplicity 1)
O 0.1576 0.5585 0.8624 (multiplicity 1)
O 0.1746 0.8310 0.2251 (multiplicity 1)
O 0.2088 0.2319 0.8336 (multiplicity 1)
O 0.3309 0.5086 0.2831 (multiplicity 1)
O 0.3600 0.1796 0.2576 (multiplicity 1)
O 0.3698 0.9114 0.8851 (multiplicity 1)
O 0.4235 0.7280 0.6180 (multiplicity 1)
O 0.4461 0.1938 0.6066 (multiplicity 1)
O 0.5893 0.0535 0.0115 (multiplicity 1)
O 0.6166 0.5187 0.9902 (multiplicity 1)
O 0.6638 0.3389 0.7309 (multiplicity 1)
O 0.7173 0.7315 0.3258 (multiplicity 1)
O 0.7764 0.0319 0.3890 (multiplicity 1)
O 0.8232 0.0152 0.7870 (multiplicity 1)
O 0.8380 0.8167 0.6151 (multiplicity 1)
O 0.8725 0.4070 0.3882 (multiplicity 1)
O 0.9261 0.2240 0.1189 (multiplicity 1)
O 0.9517 0.6859 0.1038 (multiplicity 1)

=====

# 8
Starting from a cell relaxed with GGA-PBE, the X-ray diffraction stick pattern of Ce3AlC was simulated for a wavelength of 1.5418 Å.

Main lines, low angle first (2θ = 5–70°):
2θ 18.0, 4.935 Å, intensity 24, (1 0 0)
2θ 25.5, 3.489 Å, intensity 13, (1 1 0)
2θ 31.4, 2.849 Å, intensity 100, (1 1 1)
2θ 36.4, 2.467 Å, intensity 55, (2 0 0)
2θ 40.9, 2.207 Å, intensity 12, (2 1 0)
2θ 45.0, 2.015 Å, intensity 6, (2 1 1)
2θ 52.4, 1.745 Å, intensity 38, (2 2 0)
2θ 55.9, 1.645 Å, intensity 6, (3 0 0)
2θ 59.2, 1.561 Å, intensity 3, (3 1 0)
2θ 62.4, 1.488 Å, intensity 42, (3 1 1)
2θ 65.5, 1.425 Å, intensity 13, (2 2 2)
2θ 68.6, 1.369 Å, intensity 2, (3 2 0)

Atomic structure:
a b c (Å): 4.9349 4.9349 4.9349
angles (deg): 90.00 90.00 90.00
Space group Pm-3m (No. 221)
Asymmetric unit:
Ce 0.0000 0.0000 0.5000 (multiplicity 3)
Al 0.5000 0.5000 0.5000 (multiplicity 1)
C 0.0000 0.0000 0.0000 (multiplicity 1)

=====

Copy entry 4 word for word.
Starting from a cell relaxed with GGA-PBE, the X-ray diffraction stick pattern of TiAl2Br8 was simulated for a wavelength of 1.5418 Å.

Main lines, low angle first (2θ = 5–70°):
2θ 11.8, 7.482 Å, intensity 57, (2 0 0)
2θ 23.7, 3.754 Å, intensity 33, (2 2 0)
2θ 23.9, 3.731 Å, intensity 22, (4 0 0)
2θ 27.2, 3.277 Å, intensity 48, (2 0 2)
2θ 27.4, 3.257 Å, intensity 55, (0 2 2)
2θ 28.0, 3.189 Å, intensity 100, (4 2 -2)
2θ 28.4, 3.141 Å, intensity 69, (4 0 -4)
2θ 41.6, 2.172 Å, intensity 19, (0 4 0)
2θ 41.9, 2.158 Å, intensity 38, (6 2 0)
2θ 49.3, 1.848 Å, intensity 16, (4 2 -6)
2θ 50.4, 1.811 Å, intensity 29, (8 2 -6)
2θ 51.1, 1.788 Å, intensity 23, (10 0 -6)

Atomic structure:
a b c (Å): 19.0628 8.6884 12.5780
angles (deg): 90.00 128.48 90.00
Space group C2/c (No. 15)
Asymmetric unit:
Ti 0.0000 0.0027 0.2500 (multiplicity 4)
Al 0.0836 0.2421 0.5285 (multiplicity 8)
Br 0.0629 0.2277 0.1794 (multiplicity 8)
Br 0.0826 0.2257 0.7160 (multiplicity 8)
Br 0.1475 0.0174 0.5150 (multiplicity 8)
Br 0.1561 0.4622 0.5506 (multiplicity 8)